# Na5Mn2P2C2O14
Calculated X-ray diffraction stick pattern, Cu Kα X-rays. Input: a structure optimized by DFT (PBE+U).

Largest 6 diffraction maxima, in order of rising 2θ, 10° ≤ 2θ ≤ 90°:
| 2theta | I (rel.) |
| --- | --- |
| 16.44 | 41 |
| 25.89 | 48 |
| 26.58 | 77 |
| 33.22 | 85 |
| 34.19 | 100 |
| 48.58 | 39 |

Structural model:
Cell lengths 5.243, 9.061, 13.417 Å; angles 89.74, 89.86, 89.56 degrees
Fractional coordinates of all 50 atoms:
Na1 0.232 0.230 0.004
Na2 0.240 0.250 0.751
Na3 0.241 0.248 0.245
Na4 0.243 0.920 0.374
Na5 0.247 0.259 0.502
Na6 0.753 0.741 0.498
Na7 0.757 0.080 0.626
Na8 0.759 0.752 0.755
Na9 0.760 0.750 0.249
Na10 0.768 0.770 0.996
Mn1 0.221 0.640 0.626
Mn2 0.227 0.642 0.123
Mn3 0.773 0.358 0.877
Mn4 0.779 0.360 0.374
P1 0.296 0.584 0.372
P2 0.297 0.576 0.877
P3 0.703 0.424 0.123
P4 0.704 0.416 0.628
C1 0.266 0.937 0.624
C2 0.283 0.923 0.126
C3 0.717 0.077 0.874
C4 0.734 0.063 0.376
O1 0.041 0.877 0.624
O2 0.070 0.843 0.123
O3 0.168 0.423 0.880
O4 0.177 0.428 0.373
O5 0.207 0.678 0.462
O6 0.216 0.674 0.277
O7 0.218 0.667 0.785
O8 0.234 0.666 0.972
O9 0.271 0.062 0.131
O10 0.289 0.079 0.624
O11 0.402 0.449 0.127
O12 0.407 0.431 0.626
O13 0.467 0.851 0.623
O14 0.489 0.844 0.126
O15 0.511 0.156 0.874
O16 0.533 0.149 0.377
O17 0.593 0.569 0.374
O18 0.598 0.551 0.873
O19 0.711 0.921 0.376
O20 0.729 0.938 0.869
O21 0.766 0.334 0.028
O22 0.782 0.333 0.215
O23 0.784 0.326 0.723
O24 0.793 0.322 0.538
O25 0.823 0.572 0.627
O26 0.832 0.577 0.120
O27 0.930 0.157 0.877
O28 0.959 0.123 0.376

=====

# NaMnPCO7
Calculated X-ray diffraction stick pattern, Cu Kα X-rays. Input: a structure optimized by DFT (PBE+U).

Largest 6 diffraction maxima, in order of rising 2θ, 10° ≤ 2θ ≤ 90°:
| 2theta | I (rel.) |
| --- | --- |
| 17.14 | 100 |
| 19.53 | 40 |
| 19.65 | 64 |
| 24.28 | 37 |
| 25.73 | 70 |
| 28.54 | 81 |

Structural model:
Cell lengths 8.139, 8.139, 10.547 Å; angles 108.16, 108.16, 100.46 degrees
Fractional coordinates of all 44 atoms:
Na1 0.125 0.875 0.000
Na2 0.200 0.900 0.549
Na3 0.875 0.125 0.000
Na4 0.900 0.200 0.549
Mn1 0.083 0.584 0.124
Mn2 0.216 0.216 0.429
Mn3 0.584 0.083 0.124
Mn4 0.703 0.703 0.426
P1 0.339 0.339 0.200
P2 0.448 0.944 0.341
P3 0.853 0.853 0.219
P4 0.944 0.448 0.341
C1 0.390 0.390 0.687
C2 0.419 0.904 0.865
C3 0.869 0.869 0.687
C4 0.904 0.419 0.865
O1 0.050 0.562 0.923
O2 0.052 0.361 0.437
O3 0.073 0.574 0.304
O4 0.212 0.408 0.100
O5 0.215 0.215 0.244
O6 0.243 0.243 0.630
O7 0.302 0.793 0.199
O8 0.324 0.820 0.735
O9 0.361 0.052 0.437
O10 0.387 0.865 0.971
O11 0.408 0.212 0.100
O12 0.422 0.422 0.580
O13 0.479 0.479 0.817
O14 0.491 0.491 0.335
O15 0.562 0.050 0.923
O16 0.565 0.870 0.443
O17 0.574 0.073 0.304
O18 0.724 0.724 0.251
O19 0.726 0.726 0.625
O20 0.753 0.945 0.122
O21 0.793 0.302 0.199
O22 0.820 0.324 0.735
O23 0.865 0.387 0.971
O24 0.870 0.565 0.443
O25 0.914 0.914 0.589
O26 0.945 0.753 0.122
O27 0.954 0.954 0.821
O28 0.998 0.998 0.365

=====

# NaMnPCO7
Calculated X-ray diffraction stick pattern, Cu Kα X-rays. Input: a structure optimized by DFT (PBE+U).

Largest 6 diffraction maxima, in order of rising 2θ, 10° ≤ 2θ ≤ 90°:
| 2theta | I (rel.) |
| --- | --- |
| 16.67 | 68 |
| 17.57 | 54 |
| 19.49 | 46 |
| 19.68 | 88 |
| 25.27 | 82 |
| 29.00 | 100 |

Structural model:
Cell lengths 5.148, 6.171, 9.584 Å; angles 93.28, 90.56, 91.83 degrees
Fractional coordinates of all 22 atoms:
Na1 0.249 0.066 0.272
Na2 0.751 0.934 0.728
Mn1 0.220 0.243 0.853
Mn2 0.780 0.757 0.147
P1 0.281 0.755 0.939
P2 0.719 0.245 0.061
C1 0.303 0.243 0.605
C2 0.697 0.757 0.395
O1 0.070 0.221 0.661
O2 0.129 0.818 0.072
O3 0.165 0.548 0.862
O4 0.258 0.930 0.827
O5 0.348 0.239 0.479
O6 0.426 0.261 0.025
O7 0.483 0.269 0.706
O8 0.517 0.731 0.294
O9 0.574 0.739 0.975
O10 0.652 0.761 0.521
O11 0.742 0.070 0.173
O12 0.835 0.452 0.138
O13 0.871 0.182 0.928
O14 0.930 0.779 0.339

=====

# Na5Mn2P2C2O14
Calculated X-ray diffraction stick pattern, Cu Kα X-rays. Input: a structure optimized by DFT (PBE+U).

Largest 6 diffraction maxima, in order of rising 2θ, 10° ≤ 2θ ≤ 90°:
| 2theta | I (rel.) |
| --- | --- |
| 25.80 | 65 |
| 26.83 | 100 |
| 33.26 | 67 |
| 33.59 | 55 |
| 33.92 | 93 |
| 34.06 | 38 |

Structural model:
Cell lengths 8.444, 8.538, 10.467 Å; angles 108.63, 107.57, 103.00 degrees
Fractional coordinates of all 50 atoms:
Na1 0.012 0.016 0.234
Na2 0.197 0.448 0.918
Na3 0.249 0.754 0.255
Na4 0.270 0.772 0.769
Na5 0.487 0.473 0.251
Na6 0.513 0.527 0.749
Na7 0.730 0.228 0.231
Na8 0.751 0.246 0.745
Na9 0.803 0.552 0.082
Na10 0.988 0.984 0.766
Mn1 0.189 0.446 0.359
Mn2 0.306 0.058 0.641
Mn3 0.694 0.942 0.359
Mn4 0.811 0.554 0.641
P1 0.066 0.310 0.579
P2 0.438 0.183 0.423
P3 0.562 0.817 0.577
P4 0.934 0.690 0.421
C1 0.029 0.285 0.065
C2 0.480 0.234 0.924
C3 0.520 0.766 0.076
C4 0.971 0.715 0.935
O1 0.024 0.603 0.324
O2 0.037 0.771 0.854
O3 0.045 0.785 0.077
O4 0.071 0.827 0.577
O5 0.168 0.219 0.667
O6 0.176 0.424 0.134
O7 0.204 0.455 0.568
O8 0.301 0.047 0.449
O9 0.332 0.259 0.328
O10 0.336 0.089 0.849
O11 0.424 0.673 0.426
O12 0.449 0.695 0.935
O13 0.458 0.700 0.154
O14 0.471 0.923 0.664
O15 0.529 0.077 0.336
O16 0.542 0.300 0.846
O17 0.551 0.305 0.065
O18 0.576 0.327 0.574
O19 0.664 0.911 0.151
O20 0.668 0.741 0.672
O21 0.699 0.953 0.551
O22 0.796 0.545 0.432
O23 0.824 0.576 0.866
O24 0.832 0.781 0.333
O25 0.929 0.173 0.423
O26 0.955 0.215 0.923
O27 0.963 0.229 0.146
O28 0.976 0.397 0.676

=====

# Na5Mn2P2C2O14
Calculated X-ray diffraction stick pattern, Cu Kα X-rays. Input: a structure optimized by DFT (PBE+U).

Largest 6 diffraction maxima, in order of rising 2θ, 10° ≤ 2θ ≤ 90°:
| 2theta | I (rel.) |
| --- | --- |
| 16.51 | 57 |
| 25.80 | 68 |
| 26.75 | 100 |
| 33.28 | 99 |
| 33.38 | 75 |
| 33.90 | 94 |

Structural model:
Cell lengths 9.058, 6.664, 10.578 Å; angles 90.00, 90.44, 90.00 degrees
Fractional coordinates of all 50 atoms:
Na1 0.078 0.250 0.116
Na2 0.228 0.502 0.390
Na3 0.228 0.998 0.390
Na4 0.261 0.009 0.871
Na5 0.261 0.491 0.871
Na6 0.739 0.509 0.129
Na7 0.739 0.991 0.129
Na8 0.772 0.002 0.610
Na9 0.772 0.498 0.610
Na10 0.922 0.750 0.884
Mn1 0.353 0.750 0.112
Mn2 0.365 0.750 0.611
Mn3 0.635 0.250 0.389
Mn4 0.647 0.250 0.888
P1 0.415 0.250 0.150
P2 0.429 0.250 0.649
P3 0.571 0.750 0.351
P4 0.585 0.750 0.850
C1 0.063 0.750 0.129
C2 0.077 0.750 0.647
C3 0.923 0.250 0.353
C4 0.937 0.250 0.871
O1 0.064 0.250 0.345
O2 0.079 0.250 0.881
O3 0.136 0.750 0.234
O4 0.140 0.750 0.023
O5 0.145 0.750 0.539
O6 0.160 0.750 0.748
O7 0.320 0.065 0.111
O8 0.320 0.435 0.111
O9 0.339 0.061 0.609
O10 0.339 0.439 0.609
O11 0.415 0.750 0.410
O12 0.433 0.750 0.915
O13 0.437 0.250 0.297
O14 0.445 0.250 0.797
O15 0.555 0.750 0.203
O16 0.563 0.750 0.703
O17 0.567 0.250 0.085
O18 0.585 0.250 0.590
O19 0.661 0.561 0.391
O20 0.661 0.939 0.391
O21 0.680 0.565 0.889
O22 0.680 0.935 0.889
O23 0.840 0.250 0.252
O24 0.855 0.250 0.461
O25 0.860 0.250 0.977
O26 0.864 0.250 0.766
O27 0.921 0.750 0.119
O28 0.936 0.750 0.655